This entry pairs a crystal structure of UReSi2Ru with its simulated X-ray diffraction stick pattern. Radiation: Cu Kα (weighted mean of Kα1 and Kα2). Structure: a structure optimized by DFT (GGA-PBE).

Most intense lines, 2θ from 15° to 90°, most intense first:
35.7°, rel. 100
23.2°, rel. 44
43.3°, rel. 36
35.4°, rel. 30
74.5°, rel. 24
58.6°, rel. 19
37.5°, rel. 17
66.6°, rel. 17

a = 5.629 Å, b = 5.629 Å, c = 5.629 Å
α = 136.45°, β = 136.45°, γ = 63.29°
Fractional coordinates of all 5 atoms:
U 0.000 0.000 0.000
Re 0.250 0.750 0.500
Si 0.376 0.376 0.000
Si 0.624 0.624 0.000
Ru 0.750 0.250 0.500